# ThSiO4
Computed X-ray powder pattern, a wavelength of 1.5418 Å. Input: a DFT-relaxed cell (GGA-PBE, the Materials Project).
Intensities are scaled so that the largest is 100.

Structure:
```
ThSiO4
1.0
-3.6009 3.6009 3.1813
3.6009 -3.6009 3.1813
3.6009 3.6009 -3.1813
Th Si O
2 2 8
Direct
0.3750 0.6250 0.7500 Th
0.6250 0.3750 0.2500 Th
0.1250 0.8750 0.2500 Si
0.8750 0.1250 0.7500 Si
0.1350 0.7086 0.4265 O
0.2179 0.2914 0.9265 O
0.2914 0.2179 0.4265 O
0.2914 0.8650 0.0735 O
0.7086 0.1350 0.9265 O
0.7086 0.7821 0.5735 O
0.7821 0.7086 0.0735 O
0.8650 0.2914 0.5735 O
```

Top 10 peaks for 2θ = 5–70°, in order of rising 2θ:
- 4.768 Å, 18.61°, I 90
- 3.601 Å, 24.72°, I 100
- 2.874 Å, 31.12°, I 43
- 2.698 Å, 33.20°, I 75
- 2.546 Å, 35.25°, I 25
- 2.246 Å, 40.15°, I 25
- 1.906 Å, 47.72°, I 26
- 1.852 Å, 49.20°, I 60
- 1.455 Å, 64.00°, I 18
- 1.349 Å, 69.72°, I 18